Theoretical X-ray powder pattern
Compound: NaGeBiCl6
Radiation: Cu Ka
Structure: a DFT-relaxed cell (GGA-PBE, Alexandria)
Lines closer than 0.1° are merged.

Atomic structure:
Cell lengths 6.5016, 6.5016, 12.3737 Å; angles 90.00, 90.00, 90.00 degrees
Sites, in units of the cell vectors:
Na (0.0000, 0.0000, 0.0000)
Na (0.5000, 0.5000, 0.5000)
Ge (0.0000, 0.0000, 0.3330)
Ge (0.5000, 0.5000, 0.8330)
Bi (0.0000, 0.0000, 0.6674)
Bi (0.5000, 0.5000, 0.1674)
Cl (0.1906, 0.1906, 0.4953)
Cl (0.2015, 0.2015, 0.1725)
Cl (0.2044, 0.2044, 0.8276)
Cl (0.2956, 0.7044, 0.3276)
Cl (0.2985, 0.7015, 0.6725)
Cl (0.3094, 0.6906, 0.9953)
Cl (0.6906, 0.3094, 0.9953)
Cl (0.7015, 0.2985, 0.6725)
Cl (0.7044, 0.2956, 0.3276)
Cl (0.7956, 0.7956, 0.8276)
Cl (0.7985, 0.7985, 0.1725)
Cl (0.8094, 0.8094, 0.4953)

The 10 most intense peaks (10° ≤ 2θ ≤ 90°), sorted by position:
| two_theta | I_rel |
| --- | --- |
| 15.40 | 80.7 |
| 19.31 | 100.0 |
| 24.12 | 27.6 |
| 25.58 | 51.9 |
| 29.09 | 26.8 |
| 31.61 | 28.3 |
| 37.86 | 87.6 |
| 39.19 | 29.9 |
| 47.39 | 39.5 |
| 48.34 | 27.8 |

Theoretical X-ray powder pattern
Compound: Na3Tl2Cd3
Radiation: Cu Ka
Structure: a DFT-relaxed cell (GGA-PBE, Alexandria)
Lines closer than 0.1° are merged.

Atomic structure:
Cell lengths 6.2830, 6.2830, 14.9279 Å; angles 90.00, 90.00, 131.42 degrees
Sites, in units of the cell vectors:
Na (0.0700, 0.9300, 0.6017)
Na (0.0700, 0.9300, 0.8983)
Na (0.2861, 0.7139, 0.7500)
Na (0.7139, 0.2861, 0.2500)
Na (0.9300, 0.0700, 0.1017)
Na (0.9300, 0.0700, 0.3983)
Tl (0.2365, 0.7635, 0.1025)
Tl (0.2365, 0.7635, 0.3975)
Tl (0.7635, 0.2365, 0.6025)
Tl (0.7635, 0.2365, 0.8975)
Cd (0.4069, 0.5931, 0.5655)
Cd (0.4069, 0.5931, 0.9345)
Cd (0.4368, 0.5632, 0.2500)
Cd (0.5632, 0.4368, 0.7500)
Cd (0.5931, 0.4069, 0.0655)
Cd (0.5931, 0.4069, 0.4345)

The 10 most intense peaks (10° ≤ 2θ ≤ 90°), sorted by position:
| two_theta | I_rel |
| --- | --- |
| 18.84 | 20.6 |
| 19.76 | 26.6 |
| 23.69 | 20.8 |
| 26.05 | 16.0 |
| 28.55 | 18.5 |
| 34.31 | 100.0 |
| 34.71 | 29.2 |
| 36.11 | 18.0 |
| 46.76 | 13.7 |
| 61.96 | 17.6 |

Theoretical X-ray powder pattern
Compound: RuO2F2
Radiation: Cu Ka
Structure: a DFT-relaxed cell (GGA-PBE, Alexandria)
Lines closer than 0.1° are merged.

Atomic structure:
Cell lengths 3.7212, 3.7212, 4.0075 Å; angles 90.00, 90.00, 90.00 degrees
Sites, in units of the cell vectors:
Ru (0.0000, 0.0000, 0.0000)
O (0.0000, 0.5000, 0.0000)
O (0.5000, 0.0000, 0.0000)
F (0.0000, 0.0000, 0.5000)
F (0.5000, 0.5000, 0.5000)

The 10 most intense peaks (10° ≤ 2θ ≤ 90°), sorted by position:
| two_theta | I_rel |
| --- | --- |
| 22.18 | 53.9 |
| 23.91 | 100.0 |
| 32.84 | 87.3 |
| 34.07 | 44.4 |
| 45.26 | 24.1 |
| 48.96 | 37.3 |
| 51.82 | 23.4 |
| 55.19 | 19.3 |
| 60.21 | 29.5 |
| 68.86 | 23.3 |

Theoretical X-ray powder pattern
Compound: Ac7Tl5Pb
Radiation: Cu Ka
Structure: a DFT-relaxed cell (GGA-PBE, Alexandria)
Lines closer than 0.1° are merged.

Atomic structure:
Cell lengths 9.0752, 9.0752, 9.0752 Å; angles 134.78, 98.27, 98.73 degrees
Sites, in units of the cell vectors:
Ac (0.0000, 0.0000, 0.0000)
Ac (0.2950, 0.6144, 0.6806)
Ac (0.3933, 0.3933, 0.0000)
Ac (0.4148, 0.0836, 0.3312)
Ac (0.7524, 0.0836, 0.6688)
Ac (0.8380, 0.3380, 0.5000)
Ac (0.9339, 0.6144, 0.3194)
Tl (0.0947, 0.1016, 0.4931)
Tl (0.0947, 0.6016, 0.9931)
Tl (0.3419, 0.8419, 0.5000)
Tl (0.6085, 0.1016, 0.0069)
Tl (0.6085, 0.6016, 0.5069)
Pb (0.6923, 0.6923, 0.0000)

The 10 most intense peaks (10° ≤ 2θ ≤ 90°), sorted by position:
| two_theta | I_rel |
| --- | --- |
| 25.53 | 20.8 |
| 25.91 | 57.6 |
| 29.72 | 70.9 |
| 30.06 | 100.0 |
| 30.25 | 33.7 |
| 33.43 | 98.5 |
| 33.81 | 87.8 |
| 47.91 | 21.0 |
| 53.21 | 31.1 |
| 55.78 | 29.7 |

Theoretical X-ray powder pattern
Compound: MgPHS2
Radiation: Cu Ka
Structure: a DFT-relaxed cell (GGA-PBE, Alexandria)
Lines closer than 0.1° are merged.

Atomic structure:
Cell lengths 4.7313, 4.7313, 3.1736 Å; angles 90.00, 90.00, 90.00 degrees
Sites, in units of the cell vectors:
Mg (0.0000, 0.0000, 0.0000)
P (0.5000, 0.5000, 0.0000)
H (0.5000, 0.5000, 0.5000)
S (0.0000, 0.5000, 0.5000)
S (0.5000, 0.0000, 0.5000)

The 10 most intense peaks (10° ≤ 2θ ≤ 90°), sorted by position:
| two_theta | I_rel |
| --- | --- |
| 18.76 | 1.8 |
| 26.65 | 0.9 |
| 38.04 | 57.0 |
| 39.12 | 100.0 |
| 54.89 | 17.8 |
| 58.13 | 7.4 |
| 69.45 | 33.4 |
| 71.61 | 15.6 |
| 81.35 | 5.6 |
| 84.08 | 10.3 |

Theoretical X-ray powder pattern
Compound: RbBrCl3
Radiation: Cu Ka
Structure: a DFT-relaxed cell (GGA-PBE, Alexandria)
Lines closer than 0.1° are merged.

Atomic structure:
Cell lengths 9.0648, 9.0648, 10.6793 Å; angles 104.70, 104.70, 68.58 degrees
Sites, in units of the cell vectors:
Rb (0.2336, 0.2406, 0.1273)
Rb (0.2406, 0.2336, 0.6273)
Rb (0.7594, 0.7664, 0.3727)
Rb (0.7664, 0.7594, 0.8727)
Br (0.1889, 0.8111, 0.2500)
Br (0.1970, 0.8030, 0.7500)
Br (0.8030, 0.1970, 0.2500)
Br (0.8111, 0.1889, 0.7500)
Cl (0.0203, 0.6415, 0.1540)
Cl (0.0266, 0.6369, 0.6529)
Cl (0.3585, 0.9797, 0.3460)
Cl (0.3631, 0.9734, 0.8471)
Cl (0.4231, 0.5731, 0.9346)
Cl (0.4269, 0.5769, 0.5654)
Cl (0.5731, 0.4231, 0.4346)
Cl (0.5769, 0.4269, 0.0654)
Cl (0.6369, 0.0266, 0.1529)
Cl (0.6415, 0.0203, 0.6540)
Cl (0.9734, 0.3631, 0.3471)
Cl (0.9797, 0.3585, 0.8460)

The 10 most intense peaks (10° ≤ 2θ ≤ 90°), sorted by position:
| two_theta | I_rel |
| --- | --- |
| 17.45 | 33.2 |
| 21.40 | 49.8 |
| 22.08 | 73.9 |
| 23.05 | 72.4 |
| 24.72 | 34.1 |
| 24.99 | 52.7 |
| 25.16 | 60.7 |
| 26.92 | 32.9 |
| 31.17 | 100.0 |
| 33.61 | 46.7 |

Theoretical X-ray powder pattern
Compound: TlCu2Br4
Radiation: Cu Ka
Structure: a DFT-relaxed cell (GGA-PBE, Alexandria)
Lines closer than 0.1° are merged.

Atomic structure:
Cell lengths 5.6357, 5.6357, 7.7097 Å; angles 90.00, 90.00, 90.00 degrees
Sites, in units of the cell vectors:
Tl (0.0000, 0.0000, 0.0000)
Cu (0.0000, 0.5000, 0.5000)
Cu (0.5000, 0.0000, 0.5000)
Br (0.2593, 0.2593, 0.3170)
Br (0.2593, 0.7407, 0.6830)
Br (0.7407, 0.2593, 0.6830)
Br (0.7407, 0.7407, 0.3170)

The 10 most intense peaks (10° ≤ 2θ ≤ 90°), sorted by position:
| two_theta | I_rel |
| --- | --- |
| 15.72 | 23.1 |
| 19.51 | 37.8 |
| 25.16 | 100.0 |
| 28.04 | 16.5 |
| 32.31 | 16.3 |
| 37.54 | 13.0 |
| 39.62 | 45.3 |
| 41.83 | 15.8 |
| 45.52 | 21.5 |
| 52.72 | 32.3 |

Theoretical X-ray powder pattern
Compound: CsLiPtO2
Radiation: Cu Ka
Structure: a DFT-relaxed cell (GGA-PBE, Alexandria)
Lines closer than 0.1° are merged.

Atomic structure:
Cell lengths 7.2978, 7.2978, 4.7673 Å; angles 90.00, 90.00, 135.63 degrees
Sites, in units of the cell vectors:
Cs (0.2500, 0.7500, 0.7566)
Cs (0.7500, 0.2500, 0.2434)
Li (0.0000, 0.0000, 0.0000)
Li (0.5000, 0.5000, 0.0000)
Pt (0.2500, 0.2500, 0.5000)
Pt (0.7500, 0.7500, 0.5000)
O (0.1050, 0.8950, 0.2874)
O (0.3950, 0.6050, 0.2874)
O (0.6050, 0.3950, 0.7126)
O (0.8950, 0.1050, 0.7126)

The 10 most intense peaks (10° ≤ 2θ ≤ 90°), sorted by position:
| two_theta | I_rel |
| --- | --- |
| 18.61 | 70.6 |
| 22.83 | 91.7 |
| 25.57 | 44.7 |
| 26.38 | 75.6 |
| 31.79 | 55.4 |
| 35.17 | 77.7 |
| 40.10 | 100.0 |
| 46.60 | 35.9 |
| 56.17 | 42.0 |
| 57.97 | 40.7 |

Theoretical X-ray powder pattern
Compound: CsZnSiP2
Radiation: Cu Ka
Structure: a DFT-relaxed cell (GGA-PBE, Alexandria)
Lines closer than 0.1° are merged.

Atomic structure:
Cell lengths 7.6902, 7.6902, 6.4419 Å; angles 90.00, 90.00, 134.31 degrees
Sites, in units of the cell vectors:
Cs (0.2500, 0.7500, 0.7579)
Cs (0.7500, 0.2500, 0.2421)
Zn (0.0000, 0.0000, 0.0000)
Zn (0.5000, 0.5000, 0.0000)
Si (0.2500, 0.2500, 0.5000)
Si (0.7500, 0.7500, 0.5000)
P (0.0858, 0.9142, 0.3010)
P (0.4142, 0.5858, 0.3010)
P (0.5858, 0.4142, 0.6990)
P (0.9142, 0.0858, 0.6990)

The 10 most intense peaks (10° ≤ 2θ ≤ 90°), sorted by position:
| two_theta | I_rel |
| --- | --- |
| 21.23 | 49.3 |
| 25.13 | 32.8 |
| 27.77 | 100.0 |
| 29.92 | 30.3 |
| 30.49 | 44.4 |
| 43.24 | 17.6 |
| 47.75 | 22.4 |
| 49.03 | 14.3 |
| 51.82 | 15.8 |
| 57.38 | 16.2 |

Theoretical X-ray powder pattern
Compound: Tl2Ag2GeCl6
Radiation: Cu Ka
Structure: a DFT-relaxed cell (GGA-PBE, Alexandria)
Lines closer than 0.1° are merged.

Atomic structure:
Cell lengths 7.8460, 7.8460, 7.4311 Å; angles 117.84, 117.84, 56.88 degrees
Sites, in units of the cell vectors:
Tl (0.2433, 0.2433, 0.1911)
Tl (0.7567, 0.7567, 0.8089)
Ag (0.4265, 0.4265, 0.7656)
Ag (0.5735, 0.5735, 0.2344)
Ge (0.0000, 0.0000, 0.5000)
Cl (0.1855, 0.6910, 0.1935)
Cl (0.2172, 0.2172, 0.6052)
Cl (0.3090, 0.8145, 0.8065)
Cl (0.6910, 0.1855, 0.1935)
Cl (0.7828, 0.7828, 0.3948)
Cl (0.8145, 0.3090, 0.8065)

The 10 most intense peaks (10° ≤ 2θ ≤ 90°), sorted by position:
| two_theta | I_rel |
| --- | --- |
| 22.65 | 27.8 |
| 22.79 | 100.0 |
| 23.81 | 46.1 |
| 27.82 | 56.5 |
| 28.35 | 41.6 |
| 34.03 | 19.1 |
| 35.01 | 21.3 |
| 35.33 | 19.8 |
| 41.25 | 29.4 |
| 46.57 | 27.3 |

Theoretical X-ray powder pattern
Compound: PmTi5
Radiation: Cu Ka
Structure: a DFT-relaxed cell (GGA-PBE, Alexandria)
Lines closer than 0.1° are merged.

Atomic structure:
Cell lengths 6.8485, 6.8485, 4.2652 Å; angles 90.00, 90.00, 144.27 degrees
Sites, in units of the cell vectors:
Pm (0.0000, 0.0000, 0.0000)
Ti (0.1757, 0.8243, 0.5000)
Ti (0.3220, 0.6780, 0.0000)
Ti (0.5000, 0.5000, 0.5000)
Ti (0.6780, 0.3220, 0.0000)
Ti (0.8243, 0.1757, 0.5000)

The 10 most intense peaks (10° ≤ 2θ ≤ 90°), sorted by position:
| two_theta | I_rel |
| --- | --- |
| 13.58 | 10.6 |
| 22.23 | 12.1 |
| 30.64 | 13.3 |
| 36.45 | 100.0 |
| 41.56 | 16.1 |
| 42.38 | 16.3 |
| 43.05 | 15.6 |
| 72.50 | 11.8 |
| 73.64 | 11.4 |
| 74.58 | 10.9 |

Theoretical X-ray powder pattern
Compound: InPIr
Radiation: Cu Ka
Structure: a DFT-relaxed cell (GGA-PBE, Alexandria)
Lines closer than 0.1° are merged.

Atomic structure:
Cell lengths 6.5276, 5.9276, 6.6933 Å; angles 90.00, 112.38, 90.00 degrees
Sites, in units of the cell vectors:
In (0.1430, 0.1204, 0.3774)
In (0.1430, 0.3796, 0.8774)
In (0.8570, 0.6204, 0.1226)
In (0.8570, 0.8796, 0.6226)
P (0.3496, 0.6273, 0.6546)
P (0.3496, 0.8727, 0.1546)
P (0.6504, 0.1273, 0.8454)
P (0.6504, 0.3727, 0.3454)
Ir (0.3169, 0.5400, 0.3070)
Ir (0.3169, 0.9600, 0.8070)
Ir (0.6831, 0.0400, 0.1930)
Ir (0.6831, 0.4600, 0.6930)

The 10 most intense peaks (10° ≤ 2θ ≤ 90°), sorted by position:
| two_theta | I_rel |
| --- | --- |
| 22.07 | 100.0 |
| 30.15 | 24.6 |
| 31.45 | 27.7 |
| 33.32 | 23.4 |
| 33.52 | 25.4 |
| 34.39 | 23.2 |
| 37.37 | 29.4 |
| 40.87 | 32.4 |
| 43.36 | 45.1 |
| 44.42 | 25.8 |

Theoretical X-ray powder pattern
Compound: ZrIrAu
Radiation: Cu Ka
Structure: a DFT-relaxed cell (GGA-PBE, Alexandria)
Lines closer than 0.1° are merged.

Atomic structure:
Cell lengths 5.1171, 5.1171, 5.1171 Å; angles 142.80, 137.46, 57.77 degrees
Sites, in units of the cell vectors:
Zr (0.0000, 0.0000, 0.0000)
Ir (0.3547, 0.3547, 0.0000)
Au (0.6772, 0.6772, 0.0000)

The 10 most intense peaks (10° ≤ 2θ ≤ 90°), sorted by position:
| two_theta | I_rel |
| --- | --- |
| 25.98 | 13.1 |
| 36.66 | 100.0 |
| 38.69 | 84.4 |
| 40.96 | 72.1 |
| 49.08 | 21.9 |
| 56.38 | 14.5 |
| 65.78 | 35.8 |
| 70.47 | 29.3 |
| 74.38 | 23.6 |
| 77.95 | 12.1 |

Theoretical X-ray powder pattern
Compound: MoIrRu
Radiation: Cu Ka
Structure: a DFT-relaxed cell (GGA-PBE, Alexandria)
Lines closer than 0.1° are merged.

Atomic structure:
Cell lengths 4.3687, 4.8193, 4.8193 Å; angles 60.17, 90.00, 90.00 degrees
Sites, in units of the cell vectors:
Mo (0.2500, 0.1743, 0.8257)
Mo (0.7500, 0.8257, 0.1743)
Ir (0.2500, 0.4957, 0.1637)
Ir (0.7500, 0.1637, 0.4957)
Ru (0.2500, 0.8311, 0.5014)
Ru (0.7500, 0.5014, 0.8311)

The 10 most intense peaks (10° ≤ 2θ ≤ 90°), sorted by position:
| two_theta | I_rel |
| --- | --- |
| 21.29 | 10.3 |
| 29.57 | 8.8 |
| 37.32 | 16.0 |
| 41.33 | 24.7 |
| 42.83 | 100.0 |
| 56.87 | 14.4 |
| 67.17 | 11.5 |
| 76.40 | 18.1 |
| 82.02 | 13.4 |
| 83.17 | 9.6 |